# 1
Computed powder diffraction line list
Compound: TbInAg3Te4
Radiation: Cu Kα (λ = 1.5418 Å)
Structure: a DFT-relaxed cell (GGA-PBE, OQMD)
Intensities are scaled so that the largest is 100.

Structural model:
a = 6.7457 Å, b = 6.7457 Å, c = 6.7457 Å
α = 90.00°, β = 90.00°, γ = 90.00°
Element x y z (fractional)
Tb: 0.0000 0.0000 0.0000
In: 0.5000 0.5000 0.5000
Ag: 0.0000 0.0000 0.5000
Ag: 0.0000 0.5000 0.0000
Ag: 0.5000 0.0000 0.0000
Te: 0.2480 0.2480 0.7520
Te: 0.2480 0.7520 0.2480
Te: 0.7520 0.2480 0.2480
Te: 0.7520 0.7520 0.7520

Main lines, low angle first (2θ from 10° to 90°):
d (Å)  Rel. int.
3.895  68
2.385  100
2.034  34
1.686  17
1.548  14
1.377  34



# 2
Computed powder diffraction line list
Compound: TbTm2In3Ag3
Radiation: Cu Kα (λ = 1.5418 Å)
Structure: a DFT-relaxed cell (GGA-PBE, OQMD)
Intensities are scaled so that the largest is 100.

Structural model:
a = 3.8852 Å, b = 7.8345 Å, c = 7.8345 Å
α = 120.15°, β = 90.00°, γ = 90.00°
Element x y z (fractional)
Tb: 0.0000 0.0000 0.0000
Tm: 0.0000 0.4030 0.8056
Tm: 0.0000 0.8056 0.4030
In: 0.5000 0.1385 0.4039
In: 0.5000 0.4039 0.1385
In: 0.5000 0.6684 0.6684
Ag: 0.0000 0.4049 0.4049
Ag: 0.5000 0.0711 0.7341
Ag: 0.5000 0.7341 0.0711

Main lines, low angle first (2θ from 10° to 90°):
d (Å)  Rel. int.
2.757  100
2.563  41
2.554  78
2.260  43
1.943  21
1.473  21



# 3
Computed powder diffraction line list
Compound: Tb2TmIn3Ag3
Radiation: Cu Kα (λ = 1.5418 Å)
Structure: a DFT-relaxed cell (GGA-PBE, OQMD)
Intensities are scaled so that the largest is 100.

Structural model:
a = 3.9179 Å, b = 7.8210 Å, c = 7.8210 Å
α = 119.80°, β = 90.00°, γ = 90.00°
Element x y z (fractional)
Tb: 0.0000 0.2024 0.7976
Tb: 0.0000 0.7976 0.2024
Tm: 0.0000 0.6068 0.6068
In: 0.5000 0.2036 0.4661
In: 0.5000 0.4661 0.2036
In: 0.5000 0.9397 0.9397
Ag: 0.0000 0.2042 0.2042
Ag: 0.5000 0.5373 0.8668
Ag: 0.5000 0.8668 0.5373

Main lines, low angle first (2θ from 10° to 90°):
d (Å)  Rel. int.
2.769  89
2.564  100
2.262  25
1.959  21
1.481  15
1.444  18



# 4
Computed powder diffraction line list
Compound: Zr2InAg2
Radiation: Cu Kα (λ = 1.5418 Å)
Structure: a DFT-relaxed cell (GGA-PBE, OQMD)
Intensities are scaled so that the largest is 100.

Structural model:
a = 6.8716 Å, b = 6.8716 Å, c = 6.8716 Å
α = 142.67°, β = 142.67°, γ = 53.82°
Element x y z (fractional)
Zr: 0.2500 0.7500 0.5000
Zr: 0.7500 0.2500 0.5000
In: 0.0000 0.0000 0.0000
Ag: 0.3956 0.3956 0.0000
Ag: 0.6044 0.6044 0.0000

Main lines, low angle first (2θ from 10° to 90°):
d (Å)  Rel. int.
2.993  39
2.773  100
2.199  55
2.183  27
2.141  42
1.534  33



# 5
Computed powder diffraction line list
Compound: Ag3Ir11
Radiation: Cu Kα (λ = 1.5418 Å)
Structure: a DFT-relaxed cell (GGA-PBE, OQMD)
Intensities are scaled so that the largest is 100.

Structural model:
a = 7.2383 Å, b = 7.2383 Å, c = 6.4583 Å
α = 112.96°, β = 112.96°, γ = 44.78°
Element x y z (fractional)
Ag: 0.0000 0.0000 0.0000
Ag: 0.2750 0.2750 0.7079
Ag: 0.5517 0.5517 0.4165
Ir: 0.0538 0.0538 0.4515
Ir: 0.1030 0.6001 0.1265
Ir: 0.1534 0.6764 0.5697
Ir: 0.3974 0.8746 0.8462
Ir: 0.4496 0.9513 0.2891
Ir: 0.4963 0.4963 0.9630
Ir: 0.6001 0.1030 0.1265
Ir: 0.6764 0.1534 0.5697
Ir: 0.7757 0.7757 0.7078
Ir: 0.8746 0.3974 0.8462
Ir: 0.9513 0.4496 0.2891

Main lines, low angle first (2θ from 10° to 90°):
d (Å)  Rel. int.
2.468  47
2.286  64
2.223  57
2.093  100
2.040  47
1.776  21



# 6
Computed powder diffraction line list
Compound: KAgIrSe2S
Radiation: Cu Kα (λ = 1.5418 Å)
Structure: a DFT-relaxed cell (GGA-PBE, OQMD)
Intensities are scaled so that the largest is 100.

Structural model:
a = 7.6060 Å, b = 7.6060 Å, c = 9.9149 Å
α = 90.00°, β = 90.00°, γ = 150.44°
Element x y z (fractional)
K: 0.2472 0.7528 0.7500
K: 0.7528 0.2472 0.2500
Ag: 0.4523 0.5477 0.2500
Ag: 0.5477 0.4523 0.7500
Ir: 0.0000 0.0000 0.0000
Ir: 0.0000 0.0000 0.5000
Se: 0.3869 0.6131 0.0144
Se: 0.3869 0.6131 0.4856
Se: 0.6131 0.3869 0.5144
Se: 0.6131 0.3869 0.9856
S: 0.0617 0.9383 0.2500
S: 0.9383 0.0617 0.7500

Main lines, low angle first (2θ from 10° to 90°):
d (Å)  Rel. int.
7.354  100
2.909  16
2.593  43
2.479  24
2.346  27
2.119  27



# 7
Computed powder diffraction line list
Compound: La2AgIr
Radiation: Cu Kα (λ = 1.5418 Å)
Structure: a DFT-relaxed cell (GGA-PBE, OQMD)
Intensities are scaled so that the largest is 100.

Structural model:
a = 10.7346 Å, b = 5.0609 Å, c = 7.3613 Å
α = 90.00°, β = 90.00°, γ = 90.00°
Element x y z (fractional)
La: 0.1273 0.2500 0.0060
La: 0.1279 0.2500 0.4935
La: 0.3721 0.7500 0.9935
La: 0.3727 0.7500 0.5060
La: 0.6273 0.2500 0.4940
La: 0.6279 0.2500 0.0065
La: 0.8721 0.7500 0.5065
La: 0.8727 0.7500 0.9940
Ag: 0.1159 0.7500 0.7491
Ag: 0.3841 0.2500 0.2491
Ag: 0.6159 0.7500 0.7509
Ag: 0.8841 0.2500 0.2509
Ir: 0.1056 0.7500 0.2504
Ir: 0.3944 0.2500 0.7504
Ir: 0.6056 0.7500 0.2496
Ir: 0.8944 0.2500 0.7496

Main lines, low angle first (2θ from 10° to 90°):
d (Å)  Rel. int.
2.684  25
2.603  100
2.530  24
1.841  26
1.533  16
1.475  17



# 8
Computed powder diffraction line list
Compound: LiLu4AgIr2
Radiation: Cu Kα (λ = 1.5418 Å)
Structure: a DFT-relaxed cell (GGA-PBE, OQMD)
Intensities are scaled so that the largest is 100.

Structural model:
a = 4.8392 Å, b = 4.8392 Å, c = 6.8259 Å
α = 90.00°, β = 90.00°, γ = 90.00°
Element x y z (fractional)
Li: 0.0000 0.0000 0.0000
Lu: 0.0000 0.5000 0.2481
Lu: 0.0000 0.5000 0.7519
Lu: 0.5000 0.0000 0.2481
Lu: 0.5000 0.0000 0.7519
Ag: 0.5000 0.5000 0.5000
Ir: 0.0000 0.0000 0.5000
Ir: 0.5000 0.5000 0.0000

Main lines, low angle first (2θ from 10° to 90°):
d (Å)  Rel. int.
3.948  11
2.417  100
2.062  6
1.711  12
1.396  36
1.208  8